Mn2Cd2O5: computed X-ray powder pattern (Cu Kα (weighted mean of Kα1 and Kα2)), based on a cell relaxed with GGA+U.

Cell and atoms:
```
Mn2Cd2O5
1.0
5.2837 -3.6980 0.0000
5.2837 3.6980 0.0000
0.0000 0.0000 5.7116
Mn Cd O
4 4 10
direct
0.2434 0.7566 0.8402
0.2566 0.7434 0.3402
0.7434 0.2566 0.6598
0.7566 0.2434 0.1598
0.2141 0.2141 0.5000
0.2859 0.2859 0.0000
0.7141 0.7141 0.0000
0.7859 0.7859 0.5000
0.0000 0.0000 0.5000
0.0703 0.6763 0.0947
0.1763 0.5703 0.5947
0.3237 0.9297 0.0947
0.4297 0.8237 0.5947
0.5000 0.5000 0.0000
0.5703 0.1763 0.4053
0.6763 0.0703 0.9053
0.8237 0.4297 0.4053
0.9297 0.3237 0.9053
```

Main lines, in order of falling intensity (15 to 90 degrees two-theta):
- 2θ 29.5, d 3.030, I 100
- 2θ 35.7, d 2.512, I 37
- 2θ 39.9, d 2.260, I 36
- 2θ 47.5, d 1.915, I 31
- 2θ 31.3, d 2.856, I 24
- 2θ 32.2, d 2.779, I 23
- 2θ 53.3, d 1.717, I 19
- 2θ 49.3, d 1.849, I 17
- 2θ 33.9, d 2.642, I 16
- 2θ 42.5, d 2.125, I 16